Diffraction record for Li7Mn2Co3O12. The powder diffraction line list is computed, not measured: it uses a crystal structure in the Materials Project, relaxed with PBE+U and λ = 1.5418 Å (Cu Kα).

Top 10 peaks for 5° ≤ 2θ ≤ 70°, sorted by position:
| Position (°2θ) | d/Å | I/Imax |
| --- | --- | --- |
| 9.4 | 9.406 | 11.7 |
| 12.3 | 7.178 | 10.1 |
| 18.4 | 4.831 | 100.0 |
| 34.7 | 2.586 | 18.1 |
| 36.3 | 2.475 | 12.3 |
| 36.7 | 2.451 | 11.1 |
| 41.7 | 2.168 | 33.5 |
| 44.1 | 2.055 | 27.9 |
| 44.7 | 2.025 | 26.0 |
| 62.8 | 1.480 | 15.6 |

Cell and atoms:
```
data_Li7Mn2Co3O12
_chemical_formula_sum 'Li7 Mn2 Co3 O12'
_space_group_name_H-M_alt 'P 1'
_space_group_IT_number 1
_space_group_name_Hall 'P 1'
_cell_length_a 2.9825
_cell_length_b 7.7926
_cell_length_c 10.1170
_cell_angle_alpha 111.14
_cell_angle_beta 91.39
_cell_angle_gamma 97.92
loop_
_atom_site_label
_atom_site_type_symbol
_atom_site_fract_x
_atom_site_fract_y
_atom_site_fract_z
_atom_site_occupancy
Li1 Li 0.0000 0.0000 0.0000 1
Li2 Li 0.0076 0.0092 0.5232 1
Li3 Li 0.3286 0.6674 0.3445 1
Li4 Li 0.3425 0.6815 0.8486 1
Li5 Li 0.4840 0.9985 0.7696 1
Li6 Li 0.6557 0.3353 0.6855 1
Li7 Li 0.6658 0.3362 0.1776 1
Mn1 Mn 0.5108 0.0000 0.2632 1
Mn2 Mn 0.8320 0.6804 0.6028 1
Co1 Co 0.1527 0.3242 0.9235 1
Co2 Co 0.1765 0.3374 0.4268 1
Co3 Co 0.8295 0.6663 0.0941 1
O1 O 0.0959 0.1933 0.7409 1
O2 O 0.1304 0.1733 0.2322 1
O3 O 0.2165 0.5005 0.1200 1
O4 O 0.2720 0.5190 0.6271 1
O5 O 0.3799 0.8160 0.5600 1
O6 O 0.4458 0.8335 0.0641 1
O7 O 0.5535 0.1855 0.9693 1
O8 O 0.6115 0.1735 0.4657 1
O9 O 0.7434 0.5023 0.3994 1
O10 O 0.7754 0.5003 0.9020 1
O11 O 0.8847 0.8297 0.2937 1
O12 O 0.9019 0.8228 0.7915 1
```

Diffraction record for Li7Mn2Co3O12. The powder diffraction line list is computed, not measured: it uses a crystal structure in the Materials Project, relaxed with PBE+U and λ = 1.5418 Å (Cu Kα).

Top 10 peaks for 5° ≤ 2θ ≤ 70°, sorted by position:
| Position (°2θ) | d/Å | I/Imax |
| --- | --- | --- |
| 6.0 | 14.638 | 33.8 |
| 9.1 | 9.759 | 18.0 |
| 18.2 | 4.879 | 100.0 |
| 35.5 | 2.527 | 43.2 |
| 43.1 | 2.101 | 90.8 |
| 47.1 | 1.930 | 14.8 |
| 56.8 | 1.621 | 14.7 |
| 62.3 | 1.490 | 24.3 |
| 62.7 | 1.481 | 25.7 |
| 65.9 | 1.417 | 14.5 |

Cell and atoms:
```
data_Li7Mn2Co3O12
_chemical_formula_sum 'Li7 Mn2 Co3 O12'
_space_group_name_H-M_alt 'P 1'
_space_group_IT_number 1
_space_group_name_Hall 'P 1'
_cell_length_a 2.9625
_cell_length_b 2.9625
_cell_length_c 29.2764
_cell_angle_alpha 90.00
_cell_angle_beta 90.00
_cell_angle_gamma 120.00
loop_
_atom_site_label
_atom_site_type_symbol
_atom_site_fract_x
_atom_site_fract_y
_atom_site_fract_z
_atom_site_occupancy
Li1 Li 0.0000 0.0000 0.0000 1
Li2 Li 0.0000 0.0000 0.2504 1
Li3 Li 0.0000 0.0000 0.5001 1
Li4 Li 0.3333 0.6667 0.1751 1
Li5 Li 0.3333 0.6667 0.6663 1
Li6 Li 0.6667 0.3333 0.3295 1
Li7 Li 0.6667 0.3333 0.8306 1
Mn1 Mn 0.3333 0.6667 0.9165 1
Mn2 Mn 0.6667 0.3333 0.0835 1
Co1 Co 0.0000 0.0000 0.7495 1
Co2 Co 0.3333 0.6667 0.4176 1
Co3 Co 0.6667 0.3333 0.5837 1
O1 O 0.0000 0.0000 0.1183 1
O2 O 0.0000 0.0000 0.3845 1
O3 O 0.0000 0.0000 0.6215 1
O4 O 0.0000 0.0000 0.8786 1
O5 O 0.3333 0.6667 0.0448 1
O6 O 0.3333 0.6667 0.2940 1
O7 O 0.3333 0.6667 0.5459 1
O8 O 0.3333 0.6667 0.7879 1
O9 O 0.6667 0.3333 0.2076 1
O10 O 0.6667 0.3333 0.4544 1
O11 O 0.6667 0.3333 0.7121 1
O12 O 0.6667 0.3333 0.9555 1
```

Diffraction record for Li5Mn2CoO8. The powder diffraction line list is computed, not measured: it uses a crystal structure in the Materials Project, relaxed with PBE+U and λ = 1.5418 Å (Cu Kα).

Top 10 peaks for 5° ≤ 2θ ≤ 70°, sorted by position:
| Position (°2θ) | d/Å | I/Imax |
| --- | --- | --- |
| 18.6 | 4.770 | 100.0 |
| 18.7 | 4.742 | 19.6 |
| 21.9 | 4.057 | 12.0 |
| 30.5 | 2.935 | 10.5 |
| 35.3 | 2.540 | 17.8 |
| 36.7 | 2.451 | 23.4 |
| 42.5 | 2.125 | 29.7 |
| 44.7 | 2.028 | 52.5 |
| 59.0 | 1.566 | 9.2 |
| 63.4 | 1.467 | 29.1 |

Cell and atoms:
```
data_Li5Mn2CoO8
_chemical_formula_sum 'Li10 Mn4 Co2 O16'
_space_group_name_H-M_alt 'P 1'
_space_group_IT_number 1
_space_group_name_Hall 'P 1'
_cell_length_a 5.8730
_cell_length_b 5.8730
_cell_length_c 10.2733
_cell_angle_alpha 108.90
_cell_angle_beta 108.90
_cell_angle_gamma 58.22
loop_
_atom_site_label
_atom_site_type_symbol
_atom_site_fract_x
_atom_site_fract_y
_atom_site_fract_z
_atom_site_occupancy
Li1 Li 0.0000 0.0000 0.0000 1
Li2 Li 0.2501 0.2501 0.2496 1
Li3 Li 0.2500 0.2500 0.7500 1
Li4 Li 0.2499 0.7501 0.2503 1
Li5 Li 0.2499 0.7501 0.7497 1
Li6 Li 0.5000 0.5000 0.5000 1
Li7 Li 0.7501 0.2499 0.2503 1
Li8 Li 0.7501 0.2499 0.7497 1
Li9 Li 0.7500 0.7500 0.2500 1
Li10 Li 0.7499 0.7499 0.7504 1
Mn1 Mn 0.0000 0.5000 0.0000 1
Mn2 Mn 0.0000 0.5000 0.5000 1
Mn3 Mn 0.5000 0.0000 0.0000 1
Mn4 Mn 0.5000 0.0000 0.5000 1
Co1 Co 0.0000 0.0000 0.5000 1
Co2 Co 0.5000 0.5000 0.0000 1
O1 O 0.1075 0.6393 0.3949 1
O2 O 0.1360 0.1360 0.8851 1
O3 O 0.1371 0.6078 0.8946 1
O4 O 0.1422 0.1422 0.3790 1
O5 O 0.3584 0.3584 0.1209 1
O6 O 0.3607 0.8925 0.6051 1
O7 O 0.3642 0.3642 0.6152 1
O8 O 0.3922 0.8629 0.1054 1
O9 O 0.6078 0.1371 0.8946 1
O10 O 0.6358 0.6358 0.3848 1
O11 O 0.6393 0.1075 0.3949 1
O12 O 0.6416 0.6416 0.8791 1
O13 O 0.8578 0.8578 0.6210 1
O14 O 0.8629 0.3922 0.1054 1
O15 O 0.8640 0.8640 0.1149 1
O16 O 0.8925 0.3607 0.6051 1
```

Diffraction record for Li7Mn4CoO12. The powder diffraction line list is computed, not measured: it uses a crystal structure in the Materials Project, relaxed with PBE+U and λ = 1.5418 Å (Cu Kα).

Top 10 peaks for 5° ≤ 2θ ≤ 70°, sorted by position:
| Position (°2θ) | d/Å | I/Imax |
| --- | --- | --- |
| 7.2 | 12.347 | 23.6 |
| 15.3 | 5.787 | 8.6 |
| 18.3 | 4.838 | 100.0 |
| 35.2 | 2.548 | 13.9 |
| 36.1 | 2.485 | 13.0 |
| 36.5 | 2.464 | 13.3 |
| 42.4 | 2.130 | 31.0 |
| 44.0 | 2.058 | 27.2 |
| 44.2 | 2.051 | 27.6 |
| 58.0 | 1.589 | 9.6 |

Cell and atoms:
```
data_Li7Mn4CoO12
_chemical_formula_sum 'Li14 Mn8 Co2 O24'
_space_group_name_H-M_alt 'P 1'
_space_group_IT_number 1
_space_group_name_Hall 'P 1'
_cell_length_a 5.8742
_cell_length_b 5.9541
_cell_length_c 12.6827
_cell_angle_alpha 76.81
_cell_angle_beta 88.79
_cell_angle_gamma 87.85
loop_
_atom_site_label
_atom_site_type_symbol
_atom_site_fract_x
_atom_site_fract_y
_atom_site_fract_z
_atom_site_occupancy
Li1 Li 0.0000 0.0000 0.0000 1
Li2 Li 0.0038 0.6882 0.6486 1
Li3 Li 0.2501 0.0000 0.5001 1
Li4 Li 0.2502 0.5000 0.5001 1
Li5 Li 0.2521 0.8323 0.8337 1
Li6 Li 0.2532 0.1665 0.1654 1
Li7 Li 0.4962 0.3121 0.3504 1
Li8 Li 0.5000 0.0000 0.0000 1
Li9 Li 0.5038 0.6879 0.6496 1
Li10 Li 0.7468 0.8335 0.8346 1
Li11 Li 0.7479 0.1677 0.1663 1
Li12 Li 0.7499 0.0000 0.4999 1
Li13 Li 0.7498 0.5000 0.4999 1
Li14 Li 0.9962 0.3118 0.3514 1
Mn1 Mn 0.0069 0.8355 0.3405 1
Mn2 Mn 0.2511 0.6641 0.1662 1
Mn3 Mn 0.2533 0.3331 0.8350 1
Mn4 Mn 0.4936 0.1646 0.6589 1
Mn5 Mn 0.5064 0.8354 0.3411 1
Mn6 Mn 0.7467 0.6669 0.1650 1
Mn7 Mn 0.7489 0.3359 0.8338 1
Mn8 Mn 0.9931 0.1645 0.6595 1
Co1 Co 0.0000 0.5000 0.0000 1
Co2 Co 0.5000 0.5000 0.0000 1
O1 O 0.9996 0.2451 0.5128 1
O2 O 0.0004 0.7549 0.4872 1
O3 O 0.0191 0.5691 0.8436 1
O4 O 0.0214 0.9010 0.1734 1
O5 O 0.2365 0.3878 0.6712 1
O6 O 0.2439 0.7187 0.0033 1
O7 O 0.2483 0.0552 0.3335 1
O8 O 0.2507 0.9447 0.6669 1
O9 O 0.2625 0.6120 0.3305 1
O10 O 0.2760 0.2660 0.9942 1
O11 O 0.4786 0.4275 0.1595 1
O12 O 0.4827 0.0988 0.8237 1
O13 O 0.4988 0.2453 0.5121 1
O14 O 0.5012 0.7547 0.4879 1
O15 O 0.5173 0.9012 0.1763 1
O16 O 0.5214 0.5725 0.8405 1
O17 O 0.7240 0.7340 0.0058 1
O18 O 0.7375 0.3880 0.6695 1
O19 O 0.7493 0.0553 0.3331 1
O20 O 0.7517 0.9448 0.6665 1
O21 O 0.7561 0.2813 0.9967 1
O22 O 0.7635 0.6122 0.3288 1
O23 O 0.9786 0.0990 0.8266 1
O24 O 0.9809 0.4309 0.1564 1
```

Diffraction record for Li6Mn3CoO10. The powder diffraction line list is computed, not measured: it uses a crystal structure in the Materials Project, relaxed with PBE+U and λ = 1.5418 Å (Cu Kα).

Top 10 peaks for 5° ≤ 2θ ≤ 70°, sorted by position:
| Position (°2θ) | d/Å | I/Imax |
| --- | --- | --- |
| 9.2 | 9.645 | 15.7 |
| 18.3 | 4.856 | 100.0 |
| 35.2 | 2.546 | 12.8 |
| 36.0 | 2.495 | 23.1 |
| 37.5 | 2.395 | 9.7 |
| 42.8 | 2.112 | 28.8 |
| 43.6 | 2.078 | 58.7 |
| 57.4 | 1.606 | 10.4 |
| 62.7 | 1.481 | 28.7 |
| 64.1 | 1.454 | 8.0 |

Cell and atoms:
```
data_Li6Mn3CoO10
_chemical_formula_sum 'Li6 Mn3 Co1 O10'
_space_group_name_H-M_alt 'P 1'
_space_group_IT_number 1
_space_group_name_Hall 'P 1'
_cell_length_a 6.6650
_cell_length_b 6.6650
_cell_length_c 9.8698
_cell_angle_alpha 101.94
_cell_angle_beta 101.94
_cell_angle_gamma 25.19
loop_
_atom_site_label
_atom_site_type_symbol
_atom_site_fract_x
_atom_site_fract_y
_atom_site_fract_z
_atom_site_occupancy
Li1 Li 0.0000 0.0000 0.0000 1
Li2 Li 0.0914 0.0914 0.2844 1
Li3 Li 0.3006 0.3006 0.9001 1
Li4 Li 0.5032 0.5032 0.5029 1
Li5 Li 0.6913 0.6913 0.0843 1
Li6 Li 0.8995 0.8995 0.7066 1
Mn1 Mn 0.1948 0.1948 0.6008 1
Mn2 Mn 0.4068 0.4068 0.1919 1
Mn3 Mn 0.7977 0.7977 0.3931 1
Co1 Co 0.5840 0.5840 0.8143 1
O1 O 0.0625 0.0625 0.6508 1
O2 O 0.1493 0.1493 0.9379 1
O3 O 0.2606 0.2606 0.2575 1
O4 O 0.3337 0.3337 0.5326 1
O5 O 0.4518 0.4518 0.8388 1
O6 O 0.5381 0.5381 0.1531 1
O7 O 0.6508 0.6508 0.4687 1
O8 O 0.7444 0.7444 0.7272 1
O9 O 0.8549 0.8549 0.0670 1
O10 O 0.9460 0.9460 0.3302 1
```

Diffraction record for Li7Mn2Co3O12. The powder diffraction line list is computed, not measured: it uses a crystal structure in the Materials Project, relaxed with PBE+U and λ = 1.5418 Å (Cu Kα).

Top 10 peaks for 5° ≤ 2θ ≤ 70°, sorted by position:
| Position (°2θ) | d/Å | I/Imax |
| --- | --- | --- |
| 6.1 | 14.486 | 37.9 |
| 18.4 | 4.829 | 100.0 |
| 35.5 | 2.530 | 15.5 |
| 36.1 | 2.485 | 27.1 |
| 43.2 | 2.094 | 29.5 |
| 43.7 | 2.071 | 58.5 |
| 57.6 | 1.601 | 10.3 |
| 63.0 | 1.475 | 15.7 |
| 63.3 | 1.470 | 15.6 |
| 66.3 | 1.410 | 9.6 |

Cell and atoms:
```
data_Li7Mn2Co3O12
_chemical_formula_sum 'Li7 Mn2 Co3 O12'
_space_group_name_H-M_alt 'P 1'
_space_group_IT_number 1
_space_group_name_Hall 'P 1'
_cell_length_a 14.7769
_cell_length_b 14.7769
_cell_length_c 5.1405
_cell_angle_alpha 99.87
_cell_angle_beta 99.87
_cell_angle_gamma 11.24
loop_
_atom_site_label
_atom_site_type_symbol
_atom_site_fract_x
_atom_site_fract_y
_atom_site_fract_z
_atom_site_occupancy
Li1 Li 0.0000 0.0000 0.0000 1
Li2 Li 0.1687 0.1687 0.8150 1
Li3 Li 0.3237 0.3237 0.6731 1
Li4 Li 0.4996 0.4996 0.4978 1
Li5 Li 0.6664 0.6664 0.3235 1
Li6 Li 0.7472 0.7472 0.7452 1
Li7 Li 0.8262 0.8262 0.1639 1
Mn1 Mn 0.2473 0.2473 0.2437 1
Mn2 Mn 0.9143 0.9143 0.5825 1
Co1 Co 0.0814 0.0814 0.4111 1
Co2 Co 0.4136 0.4136 0.0808 1
Co3 Co 0.5813 0.5813 0.9105 1
O1 O 0.0422 0.0422 0.7119 1
O2 O 0.1183 0.1183 0.1043 1
O3 O 0.2084 0.2084 0.5073 1
O4 O 0.2877 0.2877 0.9818 1
O5 O 0.3767 0.3767 0.4069 1
O6 O 0.4524 0.4524 0.7596 1
O7 O 0.5416 0.5416 0.2122 1
O8 O 0.6190 0.6190 0.6061 1
O9 O 0.7109 0.7109 0.0559 1
O10 O 0.7843 0.7843 0.4336 1
O11 O 0.8781 0.8781 0.8661 1
O12 O 0.9505 0.9505 0.2941 1
```

Diffraction record for Li7Mn2Co3O12. The powder diffraction line list is computed, not measured: it uses a crystal structure in the Materials Project, relaxed with PBE+U and λ = 1.5418 Å (Cu Kα).

Top 10 peaks for 5° ≤ 2θ ≤ 70°, sorted by position:
| Position (°2θ) | d/Å | I/Imax |
| --- | --- | --- |
| 6.1 | 14.523 | 23.4 |
| 18.3 | 4.841 | 100.0 |
| 35.0 | 2.567 | 15.8 |
| 36.2 | 2.479 | 26.4 |
| 42.5 | 2.129 | 30.5 |
| 43.9 | 2.063 | 56.9 |
| 47.6 | 1.910 | 9.5 |
| 57.8 | 1.596 | 9.5 |
| 62.5 | 1.485 | 15.8 |
| 62.9 | 1.478 | 23.0 |

Cell and atoms:
```
data_Li7Mn2Co3O12
_chemical_formula_sum 'Li7 Mn2 Co3 O12'
_space_group_name_H-M_alt 'P 1'
_space_group_IT_number 1
_space_group_name_Hall 'P 1'
_cell_length_a 5.2026
_cell_length_b 2.8792
_cell_length_c 14.5241
_cell_angle_alpha 90.00
_cell_angle_beta 90.82
_cell_angle_gamma 90.00
loop_
_atom_site_label
_atom_site_type_symbol
_atom_site_fract_x
_atom_site_fract_y
_atom_site_fract_z
_atom_site_occupancy
Li1 Li 0.0000 0.0000 0.0000 1
Li2 Li 0.0072 0.0000 0.4932 1
Li3 Li 0.1545 0.5000 0.8456 1
Li4 Li 0.3476 0.0000 0.1599 1
Li5 Li 0.5079 0.5000 0.4924 1
Li6 Li 0.6572 0.0000 0.8429 1
Li7 Li 0.8411 0.5000 0.1605 1
Mn1 Mn 0.3326 0.0000 0.6669 1
Mn2 Mn 0.8332 0.5000 0.6687 1
Co1 Co 0.1717 0.5000 0.3283 1
Co2 Co 0.5017 0.5000 0.9994 1
Co3 Co 0.6722 0.0000 0.3294 1
O1 O 0.0030 0.0000 0.2504 1
O2 O 0.1899 0.5000 0.5897 1
O3 O 0.2183 0.5000 0.0708 1
O4 O 0.3374 0.0000 0.4081 1
O5 O 0.3516 0.0000 0.9263 1
O6 O 0.4742 0.5000 0.7435 1
O7 O 0.5067 0.5000 0.2533 1
O8 O 0.6510 0.0000 0.0713 1
O9 O 0.6962 0.0000 0.5901 1
O10 O 0.7889 0.5000 0.9267 1
O11 O 0.8380 0.5000 0.4082 1
O12 O 0.9733 0.0000 0.7468 1
```

Diffraction record for Li3MnCoO5. The powder diffraction line list is computed, not measured: it uses a crystal structure in the Materials Project, relaxed with PBE+U and λ = 1.5418 Å (Cu Kα).

Top 10 peaks for 5° ≤ 2θ ≤ 70°, sorted by position:
| Position (°2θ) | d/Å | I/Imax |
| --- | --- | --- |
| 12.6 | 7.012 | 9.8 |
| 18.3 | 4.848 | 100.0 |
| 36.0 | 2.495 | 25.3 |
| 36.3 | 2.474 | 12.7 |
| 43.5 | 2.079 | 59.3 |
| 43.9 | 2.064 | 28.9 |
| 47.7 | 1.908 | 8.6 |
| 57.3 | 1.607 | 9.5 |
| 62.9 | 1.477 | 8.4 |
| 63.0 | 1.475 | 15.7 |

Cell and atoms:
```
data_Li3MnCoO5
_chemical_formula_sum 'Li6 Mn2 Co2 O10'
_space_group_name_H-M_alt 'P 1'
_space_group_IT_number 1
_space_group_name_Hall 'P 1'
_cell_length_a 5.0241
_cell_length_b 5.1354
_cell_length_c 7.7411
_cell_angle_alpha 71.10
_cell_angle_beta 71.18
_cell_angle_gamma 80.52
loop_
_atom_site_label
_atom_site_type_symbol
_atom_site_fract_x
_atom_site_fract_y
_atom_site_fract_z
_atom_site_occupancy
Li1 Li 0.0000 0.0000 0.0000 1
Li2 Li 0.1023 0.5059 0.2932 1
Li3 Li 0.2043 0.0148 0.5865 1
Li4 Li 0.3908 0.0094 0.1970 1
Li5 Li 0.6085 0.0088 0.7945 1
Li6 Li 0.8099 0.0098 0.3836 1
Mn1 Mn 0.5069 0.5117 0.4868 1
Mn2 Mn 0.9060 0.5104 0.6887 1
Co1 Co 0.3033 0.5166 0.9048 1
Co2 Co 0.7109 0.4991 0.1009 1
O1 O 0.0452 0.2706 0.1307 1
O2 O 0.1599 0.7342 0.4606 1
O3 O 0.2485 0.2936 0.7289 1
O4 O 0.3652 0.7388 0.0322 1
O5 O 0.4663 0.2814 0.3492 1
O6 O 0.5703 0.7303 0.6390 1
O7 O 0.6652 0.2806 0.9260 1
O8 O 0.7258 0.7423 0.2556 1
O9 O 0.8341 0.2894 0.5491 1
O10 O 0.9518 0.7325 0.8388 1
```

Diffraction record for Li6Mn3CoO10. The powder diffraction line list is computed, not measured: it uses a crystal structure in the Materials Project, relaxed with PBE+U and λ = 1.5418 Å (Cu Kα).

Top 10 peaks for 5° ≤ 2θ ≤ 70°, sorted by position:
| Position (°2θ) | d/Å | I/Imax |
| --- | --- | --- |
| 12.0 | 7.383 | 11.4 |
| 18.4 | 4.826 | 100.0 |
| 19.7 | 4.513 | 10.3 |
| 35.8 | 2.507 | 24.8 |
| 36.4 | 2.471 | 15.5 |
| 43.5 | 2.082 | 60.5 |
| 43.9 | 2.061 | 29.8 |
| 57.4 | 1.605 | 9.7 |
| 63.0 | 1.475 | 24.0 |
| 64.0 | 1.455 | 16.8 |

Cell and atoms:
```
data_Li6Mn3CoO10
_chemical_formula_sum 'Li6 Mn3 Co1 O10'
_space_group_name_H-M_alt 'P 1'
_space_group_IT_number 1
_space_group_name_Hall 'P 1'
_cell_length_a 7.7974
_cell_length_b 7.7974
_cell_length_c 5.1067
_cell_angle_alpha 96.04
_cell_angle_beta 96.04
_cell_angle_gamma 142.47
loop_
_atom_site_label
_atom_site_type_symbol
_atom_site_fract_x
_atom_site_fract_y
_atom_site_fract_z
_atom_site_occupancy
Li1 Li 0.0000 0.0000 0.0000 1
Li2 Li 0.0948 0.9052 0.5000 1
Li3 Li 0.3069 0.6931 0.5000 1
Li4 Li 0.5010 0.4990 0.5000 1
Li5 Li 0.7005 0.2995 0.5000 1
Li6 Li 0.9094 0.0906 0.5000 1
Mn1 Mn 0.1995 0.8005 0.0000 1
Mn2 Mn 0.5985 0.4015 0.0000 1
Mn3 Mn 0.8057 0.1943 0.0000 1
Co1 Co 0.4067 0.5933 0.0000 1
O1 O 0.0434 0.4548 0.7747 1
O2 O 0.1203 0.3352 0.2364 1
O3 O 0.2923 0.2701 0.7637 1
O4 O 0.3555 0.1370 0.2185 1
O5 O 0.4574 0.0541 0.7800 1
O6 O 0.5452 0.9566 0.2253 1
O7 O 0.6648 0.8797 0.7636 1
O8 O 0.7299 0.7077 0.2363 1
O9 O 0.8630 0.6445 0.7815 1
O10 O 0.9459 0.5426 0.2200 1
```